Structure and computed powder X-ray diffraction pattern of PaGa6Sn (a cell relaxed with GGA-PBE; Cu Kα).

Most intense lines, 10° ≤ 2θ ≤ 90°, by angle:
2theta, I_rel
17.16, 14
18.11, 10
25.05, 8
34.72, 41
36.70, 29
37.52, 100
51.42, 18
64.10, 14
66.63, 18
80.07, 8

```
PaGa6Sn
1.0
3.246 -5.166 0.000
3.246 5.166 0.000
0.000 0.000 4.897
Pa Ga Sn
1 6 1
Cartesian
0.000 0.000 0.000 Pa
1.623 2.583 0.000 Ga
3.246 3.012 2.449 Ga
1.865 0.000 2.449 Ga
1.623 -2.583 0.000 Ga
4.627 0.000 2.449 Ga
3.246 -3.012 2.449 Ga
3.246 0.000 0.000 Sn
```